Simulated XRD peak list of CaEuZrFeO6 for Cu Kα X-rays, from the GGA+U geometry in the Materials Project.
Neutral-atom scattering factors, no anomalous dispersion.

Structural model:
a = 5.6936 Å, b = 5.6936 Å, c = 5.6936 Å
α = 60.00°, β = 60.00°, γ = 60.00°
Element x y z (fractional)
Ca 0.0000 0.0000 0.0000
Eu 0.5000 0.5000 0.5000
Zr 0.2500 0.2500 0.2500
Fe 0.7500 0.7500 0.7500
O 0.5071 0.5071 0.9929
O 0.5071 0.9929 0.5071
O 0.5071 0.9929 0.9929
O 0.9929 0.5071 0.5071
O 0.9929 0.5071 0.9929
O 0.9929 0.9929 0.5071

Most intense lines, 5 to 70 degrees two-theta, sorted by position:
| 2θ (°) | I/Imax |
| --- | --- |
| 19.1 | 28 |
| 31.4 | 100 |
| 37.0 | 18 |
| 38.7 | 7 |
| 45.0 | 35 |
| 49.3 | 8 |
| 55.9 | 38 |
| 59.7 | 6 |
| 65.6 | 21 |
| 69.0 | 6 |

***

Simulated XRD peak list of KCaEuWO6 for Cu Kα X-rays, from the GGA+U geometry in the Materials Project.
Neutral-atom scattering factors, no anomalous dispersion.

Structural model:
a = 5.9325 Å, b = 5.9325 Å, c = 5.9325 Å
α = 60.00°, β = 60.00°, γ = 60.00°
Element x y z (fractional)
K 0.0000 0.0000 0.0000
Ca 0.7500 0.7500 0.7500
Eu 0.5000 0.5000 0.5000
W 0.2500 0.2500 0.2500
O 0.0184 0.0184 0.4816
O 0.0184 0.4816 0.0184
O 0.0184 0.4816 0.4816
O 0.4816 0.0184 0.0184
O 0.4816 0.0184 0.4816
O 0.4816 0.4816 0.0184

Most intense lines, 5 to 70 degrees two-theta, sorted by position:
| 2θ (°) | I/Imax |
| --- | --- |
| 18.3 | 51 |
| 21.2 | 4 |
| 30.1 | 100 |
| 35.5 | 27 |
| 37.1 | 1 |
| 43.1 | 32 |
| 47.2 | 11 |
| 48.5 | 1 |
| 53.5 | 40 |
| 57.0 | 11 |
| 62.6 | 20 |
| 65.9 | 11 |

***

Q: Which formula does entry 1 have?
A: CaEuZrFeO6